# 1
Starting from a GGA-PBE-relaxed structure, the powder diffractogram of Zr4ZnBiC2 was simulated for CuKα.
No peak broadening, texture or thermal motion is included.

Peak list (10 most intense, 2θ = 15–90°, sorted by position)
| 2theta | intensity |
| --- | --- |
| 18.36 | 5 |
| 30.39 | 26 |
| 32.87 | 10 |
| 35.74 | 100 |
| 37.22 | 18 |
| 48.79 | 16 |
| 54.01 | 21 |
| 66.16 | 15 |
| 66.46 | 16 |
| 67.42 | 19 |

Crystal structure
a = 3.396 Å, b = 3.396 Å, c = 14.493 Å
α = 90.00°, β = 90.00°, γ = 120.00°
Element x y z (fractional)
Zr: 0.000 0.000 0.157
Zr: 0.000 0.000 0.843
Zr: 0.667 0.333 0.328
Zr: 0.667 0.333 0.672
Zn: 0.667 0.333 0.000
Bi: 0.000 0.000 0.500
C: 0.333 0.667 0.243
C: 0.333 0.667 0.757

# 2
Starting from a GGA-PBE-relaxed structure, the powder diffractogram of Sc2CdHg6 was simulated for CuKα.
No peak broadening, texture or thermal motion is included.

Peak list (10 most intense, 2θ = 15–90°, sorted by position)
| 2theta | intensity |
| --- | --- |
| 21.09 | 20 |
| 32.46 | 20 |
| 33.36 | 100 |
| 35.62 | 22 |
| 36.95 | 56 |
| 50.63 | 21 |
| 52.51 | 10 |
| 61.44 | 17 |
| 64.31 | 13 |
| 65.94 | 21 |

Crystal structure
a = 8.427 Å, b = 8.427 Å, c = 3.485 Å
α = 90.00°, β = 90.00°, γ = 120.00°
Element x y z (fractional)
Sc: 0.333 0.667 0.000
Sc: 0.667 0.333 0.000
Cd: 0.000 0.000 0.500
Hg: 0.000 0.295 0.000
Hg: 0.000 0.625 0.500
Hg: 0.295 0.000 0.000
Hg: 0.375 0.375 0.500
Hg: 0.625 0.000 0.500
Hg: 0.705 0.705 0.000

# 3
Starting from a GGA-PBE-relaxed structure, the powder diffractogram of KAg3S2 was simulated for CuKα.
No peak broadening, texture or thermal motion is included.

Peak list (10 most intense, 2θ = 15–90°, sorted by position)
| 2theta | intensity |
| --- | --- |
| 29.32 | 79 |
| 33.05 | 93 |
| 35.12 | 100 |
| 43.09 | 46 |
| 47.44 | 36 |
| 48.99 | 21 |
| 59.03 | 41 |
| 60.38 | 24 |
| 70.58 | 31 |
| 78.99 | 20 |

Crystal structure
a = 9.389 Å, b = 9.389 Å, c = 9.389 Å
α = 60.00°, β = 60.00°, γ = 60.00°
Element x y z (fractional)
K: 0.000 0.000 0.000
K: 0.000 0.000 0.500
K: 0.000 0.500 0.000
K: 0.500 0.000 0.000
Ag: 0.214 0.214 0.536
Ag: 0.214 0.536 0.214
Ag: 0.214 0.536 0.536
Ag: 0.464 0.464 0.786
Ag: 0.464 0.786 0.464
Ag: 0.464 0.786 0.786
Ag: 0.536 0.214 0.214
Ag: 0.536 0.214 0.536
Ag: 0.536 0.536 0.214
Ag: 0.786 0.464 0.464
Ag: 0.786 0.464 0.786
Ag: 0.786 0.786 0.464
S: 0.237 0.754 0.754
S: 0.246 0.246 0.246
S: 0.246 0.246 0.763
S: 0.246 0.763 0.246
S: 0.754 0.237 0.754
S: 0.754 0.754 0.237
S: 0.754 0.754 0.754
S: 0.763 0.246 0.246

# 4
Starting from a GGA-PBE-relaxed structure, the powder diffractogram of Rb2AgMoCl6 was simulated for CuKα.
No peak broadening, texture or thermal motion is included.

Peak list (10 most intense, 2θ = 15–90°, sorted by position)
| 2theta | intensity |
| --- | --- |
| 17.21 | 22 |
| 24.35 | 72 |
| 24.52 | 69 |
| 34.83 | 100 |
| 42.75 | 16 |
| 43.09 | 48 |
| 49.90 | 33 |
| 50.25 | 31 |
| 62.60 | 15 |
| 68.31 | 17 |

Crystal structure
a = 7.311 Å, b = 7.311 Å, c = 7.311 Å
α = 59.56°, β = 59.56°, γ = 59.56°
Element x y z (fractional)
Rb: 0.249 0.249 0.249
Rb: 0.751 0.751 0.751
Ag: 0.000 0.000 0.000
Mo: 0.500 0.500 0.500
Cl: 0.239 0.285 0.739
Cl: 0.261 0.761 0.715
Cl: 0.285 0.739 0.239
Cl: 0.715 0.261 0.761
Cl: 0.739 0.239 0.285
Cl: 0.761 0.715 0.261

# 5
Starting from a GGA-PBE-relaxed structure, the powder diffractogram of CsTmSeO was simulated for CuKα.
No peak broadening, texture or thermal motion is included.

Peak list (10 most intense, 2θ = 15–90°, sorted by position)
| 2theta | intensity |
| --- | --- |
| 21.59 | 50 |
| 24.80 | 55 |
| 26.98 | 34 |
| 28.78 | 92 |
| 29.65 | 32 |
| 31.68 | 100 |
| 33.50 | 55 |
| 37.47 | 49 |
| 39.75 | 30 |
| 50.98 | 38 |

Crystal structure
a = 8.451 Å, b = 7.342 Å, c = 6.709 Å
α = 90.00°, β = 103.13°, γ = 90.00°
Element x y z (fractional)
Cs: 0.087 0.232 0.001
Cs: 0.087 0.268 0.501
Cs: 0.913 0.732 0.499
Cs: 0.913 0.768 0.999
Tm: 0.485 0.627 0.286
Tm: 0.485 0.873 0.786
Tm: 0.515 0.127 0.214
Tm: 0.515 0.373 0.714
Se: 0.270 0.599 0.863
Se: 0.270 0.901 0.363
Se: 0.730 0.099 0.637
Se: 0.730 0.401 0.137
O: 0.413 0.144 0.879
O: 0.413 0.356 0.379
O: 0.587 0.644 0.621
O: 0.587 0.856 0.121

# 6
Starting from a GGA-PBE-relaxed structure, the powder diffractogram of ThAgB4 was simulated for CuKα.
No peak broadening, texture or thermal motion is included.

Peak list (10 most intense, 2θ = 15–90°, sorted by position)
| 2theta | intensity |
| --- | --- |
| 23.08 | 49 |
| 31.84 | 75 |
| 33.95 | 15 |
| 39.69 | 100 |
| 56.73 | 19 |
| 58.04 | 32 |
| 62.06 | 21 |
| 71.45 | 17 |
| 76.79 | 15 |
| 82.57 | 12 |

Crystal structure
a = 3.246 Å, b = 3.246 Å, c = 7.708 Å
α = 90.00°, β = 90.00°, γ = 120.00°
Element x y z (fractional)
Th: 0.000 0.000 0.000
Ag: 0.000 0.000 0.500
B: 0.333 0.667 0.265
B: 0.333 0.667 0.735
B: 0.667 0.333 0.265
B: 0.667 0.333 0.735

# 7
Starting from a GGA-PBE-relaxed structure, the powder diffractogram of KTbHg3Te4 was simulated for CuKα.
No peak broadening, texture or thermal motion is included.

Peak list (10 most intense, 2θ = 15–90°, sorted by position)
| 2theta | intensity |
| --- | --- |
| 22.07 | 100 |
| 24.84 | 58 |
| 28.51 | 43 |
| 30.55 | 58 |
| 32.29 | 26 |
| 34.88 | 70 |
| 36.52 | 26 |
| 37.48 | 50 |
| 42.32 | 42 |
| 48.74 | 33 |

Crystal structure
a = 6.771 Å, b = 8.544 Å, c = 12.428 Å
α = 90.00°, β = 103.37°, γ = 90.00°
Element x y z (fractional)
K: 0.118 0.250 0.333
K: 0.882 0.750 0.667
Tb: 0.234 0.250 0.801
Tb: 0.766 0.750 0.199
Hg: 0.331 0.008 0.052
Hg: 0.331 0.492 0.052
Hg: 0.398 0.750 0.339
Hg: 0.602 0.250 0.661
Hg: 0.669 0.508 0.948
Hg: 0.669 0.992 0.948
Te: 0.003 0.750 0.010
Te: 0.055 0.750 0.415
Te: 0.430 0.528 0.718
Te: 0.430 0.972 0.718
Te: 0.570 0.028 0.282
Te: 0.570 0.472 0.282
Te: 0.945 0.250 0.585
Te: 0.997 0.250 0.990

# 8
Starting from a GGA-PBE-relaxed structure, the powder diffractogram of LaSm2In3AgPd2 was simulated for CuKα.
No peak broadening, texture or thermal motion is included.

Peak list (10 most intense, 2θ = 15–90°, sorted by position)
| 2theta | intensity |
| --- | --- |
| 31.83 | 99 |
| 34.52 | 100 |
| 34.88 | 33 |
| 34.98 | 16 |
| 39.73 | 25 |
| 41.66 | 16 |
| 45.00 | 26 |
| 58.19 | 22 |
| 61.57 | 13 |
| 64.08 | 23 |

Crystal structure
a = 4.029 Å, b = 7.842 Å, c = 7.842 Å
α = 119.78°, β = 90.00°, γ = 90.00°
Element x y z (fractional)
La: 0.000 0.000 0.000
Sm: 0.000 0.416 0.828
Sm: 0.000 0.828 0.416
In: 0.500 0.155 0.419
In: 0.500 0.419 0.155
In: 0.500 0.671 0.671
Ag: 0.000 0.414 0.414
Pd: 0.500 0.082 0.750
Pd: 0.500 0.750 0.082

# 9
Starting from a GGA-PBE-relaxed structure, the powder diffractogram of Nd3Ho2ErNiTe2 was simulated for CuKα.
No peak broadening, texture or thermal motion is included.

Peak list (10 most intense, 2θ = 15–90°, sorted by position)
| 2theta | intensity |
| --- | --- |
| 30.66 | 100 |
| 32.25 | 82 |
| 33.05 | 72 |
| 36.72 | 26 |
| 39.46 | 36 |
| 45.14 | 22 |
| 50.23 | 21 |
| 56.56 | 33 |
| 59.51 | 41 |
| 62.39 | 17 |

Crystal structure
a = 4.017 Å, b = 8.476 Å, c = 8.476 Å
α = 119.93°, β = 90.00°, γ = 90.00°
Element x y z (fractional)
Nd: 0.000 0.000 0.000
Nd: 0.000 0.190 0.595
Nd: 0.000 0.595 0.190
Ho: 0.500 0.595 0.829
Ho: 0.500 0.829 0.595
Er: 0.500 0.361 0.361
Ni: 0.000 0.594 0.594
Te: 0.500 0.261 0.928
Te: 0.500 0.928 0.261

# 10
Starting from a GGA-PBE-relaxed structure, the powder diffractogram of Zr was simulated for CuKα.
No peak broadening, texture or thermal motion is included.

Peak list (10 most intense, 2θ = 15–90°, sorted by position)
| 2theta | intensity |
| --- | --- |
| 32.04 | 24 |
| 34.60 | 26 |
| 36.54 | 100 |
| 47.87 | 15 |
| 57.11 | 18 |
| 63.28 | 19 |
| 68.52 | 20 |
| 69.73 | 14 |
| 77.66 | 3 |
| 81.95 | 3 |

Crystal structure
a = 3.225 Å, b = 3.225 Å, c = 5.184 Å
α = 90.00°, β = 90.00°, γ = 120.00°
Element x y z (fractional)
Zr: 0.333 0.667 0.250
Zr: 0.667 0.333 0.750